Theoretical powder diffractogram of Sr10Fe4CoMo5O30 for Cu Kα (weighted mean of Kα1 and Kα2), from a DFT-relaxed cell (PBE+U, Alexandria).
Intensities are scaled so that the largest is 100.

Crystal structure
```
data_Sr10Fe4CoMo5O30
_chemical_formula_sum 'Sr10 Fe4 Co1 Mo5 O30'
_space_group_name_H-M_alt 'P -1'
_space_group_IT_number 2
_space_group_name_Hall '-P 1'
_cell_length_a 8.018
_cell_length_b 9.785
_cell_length_c 9.881
_cell_angle_alpha 81.18
_cell_angle_beta 66.07
_cell_angle_gamma 65.87
loop_
_atom_site_label
_atom_site_type_symbol
_atom_site_fract_x
_atom_site_fract_y
_atom_site_fract_z
Sr1 Sr 0.047 0.102 0.298
Sr2 Sr 0.144 0.303 0.902
Sr3 Sr 0.254 0.499 0.499
Sr4 Sr 0.357 0.692 0.096
Sr5 Sr 0.450 0.896 0.700
Fe1 Fe 0.197 0.402 0.201
Fe2 Fe 0.401 0.800 0.398
Co1 Co 0.000 0.000 0.000
Mo1 Mo 0.098 0.199 0.601
Mo2 Mo 0.298 0.602 0.799
Mo3 Mo 0.500 0.000 0.000
O1 O 0.001 0.601 0.305
O2 O 0.020 0.638 0.817
O3 O 0.051 0.105 0.792
O4 O 0.148 0.298 0.406
O5 O 0.168 0.758 0.377
O6 O 0.192 0.794 0.898
O7 O 0.193 0.013 0.501
O8 O 0.238 0.033 0.014
O9 O 0.249 0.501 0.004
O10 O 0.347 0.702 0.601
O11 O 0.361 0.165 0.585
O12 O 0.394 0.193 0.101
O13 O 0.398 0.411 0.710
O14 O 0.425 0.427 0.218
O15 O 0.451 0.901 0.191
```

The 8 most intense peaks (2θ = 10–90°), low angle first:
- 31.4 deg, 2.851 Å, I 100
- 31.5 deg, 2.840 Å, I 99
- 31.7 deg, 2.825 Å, I 54
- 31.7 deg, 2.823 Å, I 54
- 44.7 deg, 2.027 Å, I 38
- 45.2 deg, 2.004 Å, I 34
- 45.6 deg, 1.989 Å, I 33
- 55.8 deg, 1.647 Å, I 42